Diffraction record for OsBr6. The XRD peak list is calculated, not measured: it uses DFT lattice parameters and positions (GGA-PBE) and Cu Kα (λ = 1.5418 Å).
Intensities are scaled so that the largest is 100.

Crystal structure
a b c (Å): 6.5666 6.5666 5.7092
angles (deg): 90.00 90.00 120.00
Space group P-31m (No. 162)
Asymmetric unit:
Os (0.0000, 0.0000, 0.0000) x1
Br (0.0000, 0.3062, 0.7513) x6

Top 6 peaks for 2θ from 10° to 90°, in order of rising 2θ:
Position (°2θ), d [Å], Rel. int., h k l
15.57, 5.691, 83, 1 0 0
22.06, 4.029, 37, 1 0 1
31.42, 2.847, 100, 1 1 1
41.95, 2.154, 41, 1 1 2
45.04, 2.013, 29, 2 1 1
47.99, 1.896, 28, 3 0 0